Starting from a cell relaxed with PBE, the PXRD pattern of Cs2SmCrS4 was calculated for a wavelength of 1.5418 Å.
No peak broadening, texture or thermal motion is included.

Main lines, sorted by position (15 to 90 degrees two-theta):
- (1 1 1), 2θ = 15.26°, rel. 38
- (1 1 5), 2θ = 22.76°, rel. 33
- (1 3 1), 2θ = 23.28°, rel. 39
- (0 2 6), 2θ = 24.08°, rel. 100
- (0 4 0), 2θ = 24.82°, rel. 36
- (1 3 3), 2θ = 25.26°, rel. 34
- (1 3 5), 2θ = 28.84°, rel. 68
- (2 2 0), 2θ = 29.99°, rel. 56
- (2 0 6), 2θ = 34.37°, rel. 59
- (2 4 6), 2θ = 42.87°, rel. 41

Cell and atoms:
```
data_Cs2SmCrS4
_chemical_formula_sum 'Cs16 Sm8 Cr8 S32'
_symmetry_space_group_name_H-M 'F d d d'
_symmetry_Int_Tables_number 70
_cell_length_a 6.5500
_cell_length_b 14.3478
_cell_length_c 25.8717
_cell_angle_alpha 90.00
_cell_angle_beta 90.00
_cell_angle_gamma 90.00
loop_
_symmetry_equiv_pos_as_xyz
'x,y,z'
'-x,-y,-z'
'-x+1/4,-y+1/4,z'
'x+1/4,y+1/4,-z'
'x,-y+1/4,-z+1/4'
'-x,y+1/4,z+1/4'
'-x+1/4,y,-z+1/4'
'x+1/4,-y,z+1/4'
'x,y+1/2,z+1/2'
'-x,-y+1/2,-z+1/2'
'-x+1/4,-y+3/4,z+1/2'
'x+1/4,y+3/4,-z+1/2'
'x,-y+3/4,-z+3/4'
'-x,y+3/4,z+3/4'
'-x+1/4,y+1/2,-z+3/4'
'x+1/4,-y+1/2,z+3/4'
'x+1/2,y,z+1/2'
'-x+1/2,-y,-z+1/2'
'-x+3/4,-y+1/4,z+1/2'
'x+3/4,y+1/4,-z+1/2'
'x+1/2,-y+1/4,-z+3/4'
'-x+1/2,y+1/4,z+3/4'
'-x+3/4,y,-z+3/4'
'x+3/4,-y,z+3/4'
'x+1/2,y+1/2,z'
'-x+1/2,-y+1/2,-z'
'-x+3/4,-y+3/4,z'
'x+3/4,y+3/4,-z'
'x+1/2,-y+3/4,-z+1/4'
'-x+1/2,y+3/4,z+1/4'
'-x+3/4,y+1/2,-z+1/4'
'x+3/4,-y+1/2,z+1/4'
loop_
_atom_site_label
_atom_site_fract_x
_atom_site_fract_y
_atom_site_fract_z
Cs1 0.1250 0.1250 0.3048
Sm1 0.1250 0.1250 0.1250
Cr1 0.1250 0.1250 0.6250
S1 0.0850 0.2825 0.8269
```